(1)
Theoretical powder diffraction line list of MnCd4S5 for Cu Kα, from DFT lattice parameters and positions (PBE).
Intensities are scaled so that the largest is 100.

Largest 8 diffraction maxima, sorted by position, 2θ = 10–90°:
2theta  I_rel
24.66  65.8
26.44  45.9
28.03  100.0
36.46  31.4
43.41  53.0
47.63  26.6
47.69  25.5
51.54  40.5

Atomic structure:
```
MnCd4S5
1.0
12.7635 -2.0864 0.0000
12.7635 2.0864 0.0000
-2.5532 0.0000 9.5294
Mn Cd S
2 8 10
direct
0.0000 0.0000 0.0000
0.1997 0.1997 0.6010
0.1661 0.1661 0.1691
0.3678 0.3678 0.7713
0.4019 0.4019 0.1964
0.5688 0.5688 0.3672
0.5999 0.5999 0.7968
0.7665 0.7665 0.9625
0.7985 0.7985 0.4010
0.9676 0.9676 0.5704
0.0415 0.0415 0.8046
0.0719 0.0719 0.2169
0.2397 0.2397 0.4040
0.2728 0.2728 0.8157
0.4484 0.4484 0.9937
0.4772 0.4772 0.4288
0.6476 0.6476 0.5944
0.6760 0.6760 0.0280
0.8425 0.8425 0.1928
0.8756 0.8756 0.6280
```

(2)
Theoretical powder diffraction line list of Na3MgTi2P2O10F for Cu Kα, from DFT lattice parameters and positions (PBE).
Intensities are scaled so that the largest is 100.

Largest 8 diffraction maxima, sorted by position, 2θ = 10–90°:
2theta  I_rel
15.88  15.2
17.19  18.2
26.87  26.1
29.25  12.8
32.08  100.0
37.99  12.8
52.45  13.2
53.05  15.1

Atomic structure:
```
Na3MgTi2P2O10F
1.0
6.6268 0.0000 0.0000
-0.1271 6.6453 0.0000
-3.2492 -3.3148 5.1578
Na Mg Ti P O F
3 1 2 2 10 1
direct
0.0000 0.0000 0.0000
0.0130 0.4781 0.0009
0.5416 0.4780 0.0009
0.5253 0.0137 0.0012
0.0586 0.5209 0.5798
0.4794 0.9417 0.4214
0.0304 0.9926 0.5052
0.5257 0.4876 0.4957
0.1161 0.8978 0.3149
0.1212 0.2682 0.6895
0.1281 0.8946 0.6871
0.4203 0.5698 0.6692
0.4322 0.5794 0.3114
0.4416 0.2081 0.3135
0.5983 0.0631 0.7549
0.7515 0.9018 0.3312
0.8016 0.5828 0.6859
0.8443 0.3103 0.2462
0.2948 0.7541 0.0008
```

(3)
Theoretical powder diffraction line list of Tm12Mn5C15 for Cu Kα, from DFT lattice parameters and positions (PBE).
Intensities are scaled so that the largest is 100.

Largest 8 diffraction maxima, sorted by position, 2θ = 10–90°:
2theta  I_rel
26.82  12.0
32.01  100.0
34.70  13.9
36.19  56.8
51.02  14.2
52.11  18.5
60.52  10.8
62.51  15.2

Atomic structure:
```
Tm12Mn5C15
1.0
10.3397 0.0000 0.0000
-5.1698 8.9544 0.0000
0.0000 0.0000 4.9612
Tm Mn C
12 5 15
direct
0.0000 0.4312 0.0000
0.0000 0.7939 0.0000
0.1860 0.7308 0.5000
0.2061 0.2061 0.0000
0.2692 0.4552 0.5000
0.4312 0.0000 0.0000
0.4552 0.2692 0.5000
0.5448 0.8140 0.5000
0.5688 0.5688 0.0000
0.7308 0.1860 0.5000
0.7939 0.0000 0.0000
0.8140 0.5448 0.5000
0.0000 0.1531 0.5000
0.1531 0.0000 0.5000
0.3333 0.6667 0.0000
0.6667 0.3333 0.0000
0.8469 0.8469 0.5000
0.0000 0.3263 0.5000
0.0000 0.4570 0.5000
0.0000 0.7955 0.5000
0.1917 0.7173 0.0000
0.2045 0.2045 0.5000
0.2827 0.4745 0.0000
0.3263 0.0000 0.5000
0.4570 0.0000 0.5000
0.4745 0.2827 0.0000
0.5255 0.8083 0.0000
0.5430 0.5430 0.5000
0.6737 0.6737 0.5000
0.7173 0.1917 0.0000
0.7955 0.0000 0.5000
0.8083 0.5255 0.0000
```

(4)
Theoretical powder diffraction line list of CeP2H2O8 for Cu Kα, from DFT lattice parameters and positions (PBE).
Intensities are scaled so that the largest is 100.

Largest 8 diffraction maxima, sorted by position, 2θ = 10–90°:
2theta  I_rel
11.22  100.0
14.32  54.2
22.55  32.7
25.77  27.5
27.59  28.3
29.41  21.6
29.96  39.4
48.48  26.9

Atomic structure:
```
CeP2H2O8
1.0
6.7224 0.0000 0.0000
0.0000 7.0899 0.0000
0.0000 0.0000 15.7705
Ce P H O
4 8 8 32
direct
0.1342 0.0718 0.2259
0.3658 0.9282 0.7259
0.6342 0.4282 0.7741
0.8658 0.5718 0.2741
0.1113 0.2814 0.4282
0.1686 0.4072 0.7331
0.3314 0.5928 0.2331
0.3887 0.7186 0.9282
0.6113 0.2186 0.5718
0.6686 0.0928 0.2669
0.8314 0.9072 0.7669
0.8887 0.7814 0.0718
0.1173 0.3634 0.6487
0.2098 0.6149 0.9273
0.2902 0.3851 0.4273
0.3827 0.6366 0.1487
0.6173 0.1366 0.3513
0.7098 0.8851 0.0727
0.7902 0.1149 0.5727
0.8827 0.8634 0.8513
0.0240 0.9240 0.7157
0.0486 0.9180 0.1134
0.0591 0.2124 0.5145
0.0960 0.2058 0.9736
0.1365 0.2713 0.0440
0.1426 0.1174 0.3612
0.1896 0.7508 0.2681
0.1969 0.4134 0.2341
0.3031 0.5866 0.7341
0.3104 0.2492 0.7681
0.3574 0.8826 0.8612
0.3635 0.7287 0.5440
0.4040 0.7942 0.4736
0.4409 0.7876 0.0145
0.4514 0.0820 0.6134
0.4760 0.0760 0.2157
0.5240 0.5760 0.2843
0.5486 0.5820 0.8866
0.5591 0.2876 0.4855
0.5960 0.2942 0.0264
0.6365 0.2287 0.9560
0.6426 0.3826 0.6388
0.6896 0.7492 0.7319
0.6969 0.0866 0.7659
0.8031 0.9134 0.2659
0.8104 0.2508 0.2319
0.8574 0.6174 0.1388
0.8635 0.7713 0.4560
0.9040 0.7058 0.5264
0.9409 0.7124 0.9855
0.9514 0.4180 0.3866
0.9760 0.4240 0.7843
```

(5)
Theoretical powder diffraction line list of Ce5Mg for Cu Kα, from DFT lattice parameters and positions (PBE).
Intensities are scaled so that the largest is 100.

Largest 8 diffraction maxima, sorted by position, 2θ = 10–90°:
2theta  I_rel
30.91  24.8
32.57  27.0
35.05  100.0
45.52  17.0
54.97  17.9
59.73  21.3
65.38  21.1
66.88  14.7

Atomic structure:
```
Ce5Mg
1.0
5.7861 0.0000 0.0000
-2.8930 5.0109 0.0000
0.0000 0.0000 5.4982
Ce Mg
5 1
direct
0.0000 0.3455 0.0000
0.3333 0.6667 0.5000
0.3455 0.0000 0.0000
0.6545 0.6545 0.0000
0.6667 0.3333 0.5000
0.0000 0.0000 0.5000
```

(6)
Theoretical powder diffraction line list of Ag2Te2O7 for Cu Kα, from DFT lattice parameters and positions (PBE).
Intensities are scaled so that the largest is 100.

Largest 8 diffraction maxima, sorted by position, 2θ = 10–90°:
2theta  I_rel
28.89  100.0
29.60  94.0
33.58  48.8
34.54  23.2
48.93  54.4
56.78  31.7
58.01  26.7
79.77  17.1

Atomic structure:
```
Ag2Te2O7
1.0
-3.7084 5.1942 3.8447
3.7084 -5.1942 3.8447
3.7084 5.1942 -3.8447
Ag Te O
4 4 14
direct
0.0000 0.0000 0.0000
0.5000 0.0000 0.0000
0.5000 0.0000 0.5000
0.5000 0.5000 0.5000
0.0000 0.0000 0.5000
0.0000 0.5000 0.0000
0.0000 0.5000 0.5000
0.5000 0.5000 0.0000
0.0486 0.2248 0.4156
0.0486 0.6329 0.8238
0.0909 0.8409 0.2500
0.3052 0.7194 0.5858
0.3092 0.2248 0.6762
0.3092 0.6329 0.0844
0.3664 0.2806 0.0858
0.6336 0.7194 0.9142
0.6908 0.3671 0.9156
0.6908 0.7752 0.3238
0.6948 0.2806 0.4142
0.9091 0.1591 0.7500
0.9514 0.3671 0.1762
0.9514 0.7752 0.5844
```

(7)
Theoretical powder diffraction line list of NaTi3 for Cu Kα, from DFT lattice parameters and positions (PBE).
Intensities are scaled so that the largest is 100.

Largest 8 diffraction maxima, sorted by position, 2θ = 10–90°:
2theta  I_rel
16.70  14.4
33.76  25.0
37.57  25.5
38.79  100.0
51.40  13.6
60.40  14.6
68.62  15.6
73.35  15.4

Atomic structure:
```
NaTi3
1.0
6.1306 0.0000 0.0000
-3.0653 5.3093 0.0000
0.0000 0.0000 4.7877
Na Ti
2 6
direct
0.3333 0.6667 0.2500
0.6667 0.3333 0.7500
0.1543 0.3086 0.7500
0.1543 0.8457 0.7500
0.3086 0.1543 0.2500
0.6914 0.8457 0.7500
0.8457 0.1543 0.2500
0.8457 0.6914 0.2500
```

(8)
Theoretical powder diffraction line list of SmTiNbBi2O9 for Cu Kα, from DFT lattice parameters and positions (PBE).
Intensities are scaled so that the largest is 100.

Largest 8 diffraction maxima, sorted by position, 2θ = 10–90°:
2theta  I_rel
29.00  100.0
29.13  99.8
32.63  37.7
32.93  32.6
35.45  24.9
47.04  35.5
48.96  37.1
56.05  32.6

Atomic structure:
```
SmTiNbBi2O9
1.0
5.4404 0.0000 0.0000
0.0000 5.4889 0.0000
-2.6399 0.0000 12.6601
Sm Ti Nb Bi O
2 2 2 4 18
direct
0.2425 0.0000 0.9999
0.7575 0.5000 0.0001
0.3355 0.5359 0.1717
0.6645 0.0359 0.8283
0.1758 0.5405 0.8292
0.8242 0.0405 0.1708
0.0218 0.0024 0.6026
0.4270 0.0006 0.3988
0.5730 0.5006 0.6012
0.9782 0.5024 0.3974
0.0218 0.7716 0.1227
0.0228 0.5470 0.6842
0.1007 0.2737 0.1224
0.2470 0.7633 0.5019
0.2563 0.2649 0.5018
0.3295 0.5461 0.3103
0.3341 0.5778 0.9988
0.3584 0.8657 0.8273
0.4766 0.3598 0.8270
0.5234 0.8598 0.1730
0.6416 0.3657 0.1727
0.6659 0.0778 0.0012
0.6705 0.0461 0.6897
0.7437 0.7649 0.4982
0.7530 0.2633 0.4981
0.8993 0.7737 0.8776
0.9772 0.0470 0.3158
0.9782 0.2716 0.8773
```

Copy entry 6 word for word.
Theoretical powder diffraction line list of Ag2Te2O7 for Cu Kα, from DFT lattice parameters and positions (PBE).
Intensities are scaled so that the largest is 100.

Largest 8 diffraction maxima, sorted by position, 2θ = 10–90°:
2theta  I_rel
28.89  100.0
29.60  94.0
33.58  48.8
34.54  23.2
48.93  54.4
56.78  31.7
58.01  26.7
79.77  17.1

Atomic structure:
```
Ag2Te2O7
1.0
-3.7084 5.1942 3.8447
3.7084 -5.1942 3.8447
3.7084 5.1942 -3.8447
Ag Te O
4 4 14
direct
0.0000 0.0000 0.0000
0.5000 0.0000 0.0000
0.5000 0.0000 0.5000
0.5000 0.5000 0.5000
0.0000 0.0000 0.5000
0.0000 0.5000 0.0000
0.0000 0.5000 0.5000
0.5000 0.5000 0.0000
0.0486 0.2248 0.4156
0.0486 0.6329 0.8238
0.0909 0.8409 0.2500
0.3052 0.7194 0.5858
0.3092 0.2248 0.6762
0.3092 0.6329 0.0844
0.3664 0.2806 0.0858
0.6336 0.7194 0.9142
0.6908 0.3671 0.9156
0.6908 0.7752 0.3238
0.6948 0.2806 0.4142
0.9091 0.1591 0.7500
0.9514 0.3671 0.1762
0.9514 0.7752 0.5844
```